Theoretical powder XRD pattern of InIrSe3 for CuKα, from a GGA-PBE-relaxed structure.

Principal peaks in the range 2θ = 10–90°, sorted by position:
- 2θ = 13.98°, intensity 77.6, (0 0 1)
- 2θ = 15.18°, intensity 29.6, (1 0 0)
- 2θ = 26.45°, intensity 30.5, (1 1 0)
- 2θ = 30.04°, intensity 75.6, (2 -1 1)
- 2θ = 39.04°, intensity 100.0, (2 -1 2)
- 2θ = 46.69°, intensity 48.0, (3 0 0)
- 2θ = 48.99°, intensity 18.7, (0 3 1)
- 2θ = 51.06°, intensity 23.9, (1 1 3)
- 2θ = 62.44°, intensity 23.1, (2 2 2)
- 2θ = 81.46°, intensity 20.6, (5 -4 2)

Atomic structure:
Cell lengths 6.7387, 6.7387, 6.3329 Å; angles 90.00, 90.00, 120.00 degrees
Fractional positions:
In: 0.0000 0.0000 0.0000
In: 0.3333 0.6667 0.5070
Ir: 0.3333 0.6667 0.9575
Ir: 0.6667 0.3333 0.0023
Se: 0.0177 0.3782 0.1903
Se: 0.3576 0.3320 0.7741
Se: 0.3605 0.9823 0.1903
Se: 0.6218 0.6395 0.1903
Se: 0.6680 0.0256 0.7741
Se: 0.9744 0.6424 0.7741

---

Theoretical powder XRD pattern of Pm7Dy3Y for CuKα, from a GGA-PBE-relaxed structure.

Principal peaks in the range 2θ = 10–90°, sorted by position:
- 2θ = 31.25°, intensity 100.0, (2 1 0)
- 2θ = 31.31°, intensity 23.7, (1 1 -3)
- 2θ = 31.53°, intensity 12.6, (2 0 1)
- 2θ = 31.69°, intensity 56.1, (0 2 0)
- 2θ = 32.71°, intensity 43.3, (0 1 3)
- 2θ = 45.43°, intensity 10.0, (2 2 -3)
- 2θ = 51.51°, intensity 9.8, (4 0 -2)
- 2θ = 56.18°, intensity 23.5, (2 3 0)
- 2θ = 57.12°, intensity 11.6, (0 3 3)
- 2θ = 61.75°, intensity 11.4, (4 2 -2)

Atomic structure:
Cell lengths 7.0971, 5.6469, 10.0205 Å; angles 90.00, 110.45, 90.00 degrees
Fractional positions:
Pm: 0.0000 0.0000 0.0000
Pm: 0.1474 0.5000 0.2918
Pm: 0.3199 0.5000 0.6401
Pm: 0.4174 0.0000 0.8294
Pm: 0.5826 0.0000 0.1706
Pm: 0.6801 0.5000 0.3599
Pm: 0.8526 0.5000 0.7082
Dy: 0.2794 0.5000 0.9989
Dy: 0.5000 0.0000 0.5000
Dy: 0.7206 0.5000 0.0011
Y: 0.0000 0.0000 0.5000